For ScH6Pd3, a crystal structure in Alexandria, relaxed with PBE gives the computed powder diffractogram in this record (copper Kα).

Principal peaks in the range 15° ≤ 2θ ≤ 90°, by angle:
index	Position (°2θ)	I_rel
0 0 1	20.4	39
1 0 -1	34.9	54
1 1 2	34.9	27
1 2 1	37.2	100
2 1 1	37.3	49
1 1 -1	40.7	38

Cell and atoms:
Lattice parameters (Å, degrees): 4.8184 4.8357 5.1608 62.08 62.37 60.13
Space group P1 (No. 1)
Unique sites:
1 Sc 0.0000 0.0000 0.0000 x1
2 H 0.0101 0.4827 0.9517 x1
3 H 0.1852 0.8247 0.4299 x1
4 H 0.4826 0.5577 0.9496 x1
5 H 0.5565 0.0090 0.9512 x1
6 H 0.5592 0.1865 0.4297 x1
7 H 0.8236 0.5621 0.4306 x1
8 Pd 0.2163 0.2211 0.3417 x1
9 Pd 0.4387 0.4390 0.6825 x1
10 Pd 0.7732 0.7758 0.6772 x1